1.
Diffraction record for IrF4. The powder diffraction line list is theoretical, not measured: it uses a cell relaxed with PBE and Cu Kα, 1.54184 Å.

Most intense lines, 10° ≤ 2θ ≤ 90°, in order of rising 2θ:
d = 4.478 Å, I 100; d = 3.395 Å, I 50; d = 2.728 Å, I 27; d = 2.683 Å, I 24; d = 2.541 Å, I 15; d = 2.522 Å, I 20; d = 2.116 Å, I 13; d = 1.751 Å, I 16; d = 1.733 Å, I 19; d = 1.697 Å, I 10

Structure:
Cell lengths 5.7043, 5.5978, 6.7914 Å; angles 53.79, 52.35, 73.86 degrees
Atoms (fractional coordinates):
Ir  0.0000  0.0000  0.0000
Ir  0.2500  0.2500  0.2500
F  0.2256  0.2759  0.9557
F  0.2412  0.8317  0.4369
F  0.2759  0.2256  0.5428
F  0.2943  0.7072  0.0244
F  0.7072  0.2943  0.9741
F  0.7598  0.8131  0.4183
F  0.8131  0.7598  0.0088
F  0.8317  0.2412  0.4902

=====

2.
Diffraction record for K3IrF6. The powder diffraction line list is theoretical, not measured: it uses a cell relaxed with PBE and Cu Kα, 1.54184 Å.

Most intense lines, 10° ≤ 2θ ≤ 90°, in order of rising 2θ:
d = 6.248 Å, I 51; d = 6.188 Å, I 100; d = 5.276 Å, I 24; d = 5.256 Å, I 12; d = 3.854 Å, I 9; d = 3.202 Å, I 15; d = 3.094 Å, I 16; d = 2.688 Å, I 9; d = 2.630 Å, I 12; d = 2.434 Å, I 15

Structure:
Cell lengths 6.6879, 6.7069, 6.7301 Å; angles 103.20, 103.17, 104.28 degrees
Atoms (fractional coordinates):
K  0.0000  0.0000  0.0000
K  0.0000  0.5000  0.5000
K  0.5000  0.0000  0.5000
Ir  0.0000  0.0000  0.5000
F  0.0543  0.7747  0.2735
F  0.2214  0.9311  0.7177
F  0.2244  0.2219  0.4311
F  0.7756  0.7781  0.5689
F  0.7786  0.0689  0.2823
F  0.9457  0.2253  0.7265

=====

3.
Diffraction record for K3IrF6. The powder diffraction line list is theoretical, not measured: it uses a cell relaxed with PBE and Cu Kα, 1.54184 Å.

Most intense lines, 10° ≤ 2θ ≤ 90°, in order of rising 2θ:
d = 6.363 Å, I 53; d = 6.194 Å, I 100; d = 5.322 Å, I 13; d = 5.229 Å, I 11; d = 5.183 Å, I 11; d = 3.218 Å, I 11; d = 3.182 Å, I 8; d = 3.097 Å, I 16; d = 2.613 Å, I 9; d = 2.469 Å, I 10

Structure:
Cell lengths 6.6794, 6.6891, 6.7563 Å; angles 102.33, 101.11, 105.56 degrees
Atoms (fractional coordinates):
K  0.0000  0.0000  0.0000
K  0.0000  0.5000  0.5000
K  0.5000  0.0000  0.5000
Ir  0.0000  0.0000  0.5000
F  0.0476  0.7736  0.2731
F  0.2127  0.9265  0.7115
F  0.2287  0.2204  0.4207
F  0.7713  0.7796  0.5793
F  0.7873  0.0735  0.2885
F  0.9524  0.2264  0.7269

=====

4.
Diffraction record for K3IrF6. The powder diffraction line list is theoretical, not measured: it uses a cell relaxed with PBE and Cu Kα, 1.54184 Å.

Most intense lines, 10° ≤ 2θ ≤ 90°, in order of rising 2θ:
d = 5.217 Å, I 77; d = 4.518 Å, I 55; d = 3.195 Å, I 100; d = 2.725 Å, I 34; d = 2.259 Å, I 44; d = 2.021 Å, I 24; d = 1.845 Å, I 38; d = 1.597 Å, I 26; d = 1.429 Å, I 19; d = 1.208 Å, I 21

Structure:
Cell lengths 6.3898, 6.3898, 6.3898 Å; angles 60.00, 60.00, 60.00 degrees
Atoms (fractional coordinates):
K  0.0000  0.0000  0.0000
K  0.2500  0.2500  0.2500
K  0.7500  0.7500  0.7500
Ir  0.5000  0.5000  0.5000
F  0.2751  0.2751  0.7249
F  0.2751  0.7249  0.2751
F  0.2751  0.7249  0.7249
F  0.7249  0.2751  0.2751
F  0.7249  0.2751  0.7249
F  0.7249  0.7249  0.2751

=====

5.
Diffraction record for K2LiIrF6. The powder diffraction line list is theoretical, not measured: it uses a cell relaxed with PBE and Cu Kα, 1.54184 Å.

Most intense lines, 10° ≤ 2θ ≤ 90°, in order of rising 2θ:
d = 4.754 Å, I 100; d = 4.117 Å, I 36; d = 2.912 Å, I 73; d = 2.483 Å, I 57; d = 2.059 Å, I 36; d = 1.889 Å, I 25; d = 1.681 Å, I 29; d = 1.585 Å, I 20; d = 1.456 Å, I 21; d = 1.392 Å, I 20

Structure:
Cell lengths 5.8230, 5.8230, 5.8230 Å; angles 60.00, 60.00, 60.00 degrees
Atoms (fractional coordinates):
K  0.2500  0.2500  0.2500
K  0.7500  0.7500  0.7500
Li  0.0000  0.0000  0.0000
Ir  0.5000  0.5000  0.5000
F  0.2524  0.2524  0.7476
F  0.2524  0.7476  0.2524
F  0.2524  0.7476  0.7476
F  0.7476  0.2524  0.2524
F  0.7476  0.2524  0.7476
F  0.7476  0.7476  0.2524

=====

6.
Diffraction record for K2NaIrF6. The powder diffraction line list is theoretical, not measured: it uses a cell relaxed with PBE and Cu Kα, 1.54184 Å.

Most intense lines, 10° ≤ 2θ ≤ 90°, in order of rising 2θ:
d = 4.939 Å, I 100; d = 4.278 Å, I 52; d = 3.025 Å, I 100; d = 2.579 Å, I 51; d = 2.139 Å, I 47; d = 1.913 Å, I 24; d = 1.746 Å, I 39; d = 1.646 Å, I 21; d = 1.512 Å, I 28; d = 1.143 Å, I 21

Structure:
Cell lengths 6.0493, 6.0493, 6.0493 Å; angles 60.00, 60.00, 60.00 degrees
Atoms (fractional coordinates):
K  0.2500  0.2500  0.2500
K  0.7500  0.7500  0.7500
Na  0.0000  0.0000  0.0000
Ir  0.5000  0.5000  0.5000
F  0.2623  0.2623  0.7377
F  0.2623  0.7377  0.2623
F  0.2623  0.7377  0.7377
F  0.7377  0.2623  0.2623
F  0.7377  0.2623  0.7377
F  0.7377  0.7377  0.2623

=====

7.
Diffraction record for KRb2IrF6. The powder diffraction line list is theoretical, not measured: it uses a cell relaxed with PBE and Cu Kα, 1.54184 Å.

Most intense lines, 10° ≤ 2θ ≤ 90°, in order of rising 2θ:
d = 5.268 Å, I 44; d = 3.226 Å, I 100; d = 2.751 Å, I 19; d = 2.281 Å, I 37; d = 1.862 Å, I 40; d = 1.756 Å, I 10; d = 1.613 Å, I 23; d = 1.542 Å, I 10; d = 1.443 Å, I 20; d = 1.219 Å, I 22

Structure:
Cell lengths 6.4517, 6.4517, 6.4517 Å; angles 60.00, 60.00, 60.00 degrees
Atoms (fractional coordinates):
K  0.0000  0.0000  0.0000
Rb  0.2500  0.2500  0.2500
Rb  0.7500  0.7500  0.7500
Ir  0.5000  0.5000  0.5000
F  0.2766  0.2766  0.7234
F  0.2766  0.7234  0.2766
F  0.2766  0.7234  0.7234
F  0.7234  0.2766  0.2766
F  0.7234  0.2766  0.7234
F  0.7234  0.7234  0.2766

=====

8.
Diffraction record for Na2LiIrF6. The powder diffraction line list is theoretical, not measured: it uses a cell relaxed with PBE and Cu Kα, 1.54184 Å.

Most intense lines, 10° ≤ 2θ ≤ 90°, in order of rising 2θ:
d = 4.624 Å, I 100; d = 4.005 Å, I 56; d = 2.832 Å, I 56; d = 2.415 Å, I 59; d = 2.002 Å, I 31; d = 1.838 Å, I 27; d = 1.791 Å, I 24; d = 1.635 Å, I 23; d = 1.541 Å, I 20; d = 1.354 Å, I 19

Structure:
Cell lengths 5.6637, 5.6637, 5.6637 Å; angles 60.00, 60.00, 60.00 degrees
Atoms (fractional coordinates):
Na  0.2500  0.2500  0.2500
Na  0.7500  0.7500  0.7500
Li  0.0000  0.0000  0.0000
Ir  0.5000  0.5000  0.5000
F  0.2477  0.2477  0.7523
F  0.2477  0.7523  0.2477
F  0.2477  0.7523  0.7523
F  0.7523  0.2477  0.2477
F  0.7523  0.2477  0.7523
F  0.7523  0.7523  0.2477

=====

9.
Diffraction record for Rb2LiIrF6. The powder diffraction line list is theoretical, not measured: it uses a cell relaxed with PBE and Cu Kα, 1.54184 Å.

Most intense lines, 10° ≤ 2θ ≤ 90°, in order of rising 2θ:
d = 4.862 Å, I 73; d = 2.977 Å, I 100; d = 2.539 Å, I 40; d = 2.105 Å, I 40; d = 1.932 Å, I 17; d = 1.719 Å, I 41; d = 1.621 Å, I 15; d = 1.489 Å, I 25; d = 1.331 Å, I 18; d = 1.125 Å, I 22

Structure:
Cell lengths 5.9542, 5.9542, 5.9542 Å; angles 60.00, 60.00, 60.00 degrees
Atoms (fractional coordinates):
Rb  0.2500  0.2500  0.2500
Rb  0.7500  0.7500  0.7500
Li  0.0000  0.0000  0.0000
Ir  0.5000  0.5000  0.5000
F  0.2564  0.2564  0.7436
F  0.2564  0.7436  0.2564
F  0.2564  0.7436  0.7436
F  0.7436  0.2564  0.2564
F  0.7436  0.2564  0.7436
F  0.7436  0.7436  0.2564

=====

10.
Diffraction record for Rb3IrF6. The powder diffraction line list is theoretical, not measured: it uses a cell relaxed with PBE and Cu Kα, 1.54184 Å.

Most intense lines, 10° ≤ 2θ ≤ 90°, in order of rising 2θ:
d = 5.389 Å, I 20; d = 4.667 Å, I 14; d = 3.300 Å, I 100; d = 2.333 Å, I 35; d = 1.905 Å, I 40; d = 1.650 Å, I 22; d = 1.476 Å, I 21; d = 1.347 Å, I 7; d = 1.247 Å, I 23; d = 1.100 Å, I 11

Structure:
Cell lengths 6.5996, 6.5996, 6.5996 Å; angles 60.00, 60.00, 60.00 degrees
Atoms (fractional coordinates):
Rb  0.0000  0.0000  0.0000
Rb  0.2500  0.2500  0.2500
Rb  0.7500  0.7500  0.7500
Ir  0.5000  0.5000  0.5000
F  0.2817  0.2817  0.7183
F  0.2817  0.7183  0.2817
F  0.2817  0.7183  0.7183
F  0.7183  0.2817  0.2817
F  0.7183  0.2817  0.7183
F  0.7183  0.7183  0.2817

=====

11.
Diffraction record for Rb2TlIrF6. The powder diffraction line list is theoretical, not measured: it uses a cell relaxed with PBE and Cu Kα, 1.54184 Å.

Most intense lines, 10° ≤ 2θ ≤ 90°, in order of rising 2θ:
d = 4.667 Å, I 28; d = 3.300 Å, I 100; d = 2.334 Å, I 31; d = 2.087 Å, I 12; d = 1.905 Å, I 42; d = 1.650 Å, I 20; d = 1.476 Å, I 21; d = 1.347 Å, I 7; d = 1.247 Å, I 23; d = 1.100 Å, I 12

Structure:
Cell lengths 6.6002, 6.6002, 6.6002 Å; angles 60.00, 60.00, 60.00 degrees
Atoms (fractional coordinates):
Rb  0.2500  0.2500  0.2500
Rb  0.7500  0.7500  0.7500
Tl  0.0000  0.0000  0.0000
Ir  0.5000  0.5000  0.5000
F  0.2812  0.2812  0.7188
F  0.2812  0.7188  0.2812
F  0.2812  0.7188  0.7188
F  0.7188  0.2812  0.2812
F  0.7188  0.2812  0.7188
F  0.7188  0.7188  0.2812

=====

12.
Diffraction record for KF5. The powder diffraction line list is theoretical, not measured: it uses a cell relaxed with PBE and Cu Kα, 1.54184 Å.

Most intense lines, 10° ≤ 2θ ≤ 90°, in order of rising 2θ:
d = 3.374 Å, I 100; d = 2.572 Å, I 25; d = 2.460 Å, I 12; d = 2.410 Å, I 29; d = 2.160 Å, I 22; d = 2.142 Å, I 64; d = 1.974 Å, I 15; d = 1.935 Å, I 20; d = 1.679 Å, I 17; d = 1.382 Å, I 14

Structure:
Cell lengths 7.8969, 7.8969, 7.8969 Å; angles 139.44, 139.44, 58.70 degrees
Atoms (fractional coordinates):
K  0.3750  0.1250  0.2500
K  0.6250  0.8750  0.7500
F  0.0578  0.7019  0.8211
F  0.1250  0.3750  0.7500
F  0.2019  0.8808  0.6442
F  0.2633  0.4422  0.1442
F  0.3808  0.2367  0.6789
F  0.6192  0.7633  0.3211
F  0.7367  0.5578  0.8558
F  0.7981  0.1192  0.3558
F  0.8750  0.6250  0.2500
F  0.9422  0.2981  0.1789

=====

13.
Diffraction record for KF. The powder diffraction line list is theoretical, not measured: it uses a cell relaxed with PBE and Cu Kα, 1.54184 Å.

Most intense lines, 10° ≤ 2θ ≤ 90°, in order of rising 2θ:
d = 3.259 Å, I 17; d = 2.304 Å, I 100; d = 1.882 Å, I 4; d = 1.629 Å, I 14; d = 1.457 Å, I 6; d = 1.330 Å, I 26; d = 1.152 Å, I 7

Structure:
Cell lengths 3.2590, 3.2590, 3.2590 Å; angles 90.00, 90.00, 90.00 degrees
Atoms (fractional coordinates):
K  0.0000  0.0000  0.0000
F  0.5000  0.5000  0.5000

=====

14.
Diffraction record for KF. The powder diffraction line list is theoretical, not measured: it uses a cell relaxed with PBE and Cu Kα, 1.54184 Å.

Most intense lines, 10° ≤ 2θ ≤ 90°, in order of rising 2θ:
d = 3.132 Å, I 23; d = 2.712 Å, I 100; d = 1.918 Å, I 62; d = 1.635 Å, I 10; d = 1.566 Å, I 19; d = 1.356 Å, I 8; d = 1.244 Å, I 4; d = 1.213 Å, I 21; d = 1.107 Å, I 16

Structure:
Cell lengths 3.8353, 3.8353, 3.8353 Å; angles 60.00, 60.00, 60.00 degrees
Atoms (fractional coordinates):
K  0.0000  0.0000  0.0000
F  0.5000  0.5000  0.5000